Diffraction record for K2SrCrF6. The XRD peak list is simulated, not measured: it uses a PBE+U-relaxed structure and copper Kα.
Kinematic intensities with the Lorentz-polarization factor, no thermal factor.

Atomic structure:
```
K2SrCrF6
1.0
6.0035 0.0000 0.0000
0.0000 9.4114 0.0000
0.0000 0.0000 6.5311
K Sr Cr F
4 2 2 12
Cartesian
1.5009 0.3114 1.2984
1.5009 4.3943 1.2984
4.5026 5.0171 5.2327
4.5026 9.1000 5.2327
1.5009 2.3529 4.6924
4.5026 7.0586 1.8387
1.5009 7.0586 5.0723
4.5026 2.3529 1.4587
0.0170 7.0586 3.6804
0.0750 7.0586 0.0045
1.5009 0.0133 5.1263
1.5009 4.6924 5.1263
2.9267 7.0586 0.0045
2.9847 7.0586 3.6804
3.0188 2.3529 2.8507
3.0767 2.3529 6.5266
4.5026 4.7190 1.4048
4.5026 9.3981 1.4048
5.9285 2.3529 6.5266
5.9864 2.3529 2.8507
```

Main lines, most intense first (2θ from 10° to 80°):
hkl 1 2 1, 2θ 27.69, 3.222 Å, I 100; hkl 2 0 2, 2θ 40.83, 2.210 Å, I 51; hkl 1 0 1, 2θ 20.09, 4.420 Å, I 38; hkl 0 4 0, 2θ 38.25, 2.353 Å, I 34; hkl 2 4 2, 2θ 57.20, 1.611 Å, I 33; hkl 0 2 0, 2θ 18.86, 4.706 Å, I 25; hkl 0 0 2, 2θ 27.31, 3.266 Å, I 24; hkl 2 0 0, 2θ 29.76, 3.002 Å, I 24; hkl 3 2 1, 2θ 51.56, 1.772 Å, I 16; hkl 1 4 1, 2θ 43.58, 2.077 Å, I 15